Computed powder diffractogram of Co2BiBP2O10 for Cu Ka, from a DFT-relaxed cell (GGA+U, OQMD).
No peak broadening, texture or thermal motion is included.

Cell: 5.035 11.259 6.389 Å, 90.00 107.77 90.00°
Element x y z (fractional)
Co: 0.143 0.106 0.160
Co: 0.143 0.394 0.160
Co: 0.857 0.606 0.840
Co: 0.857 0.894 0.840
Bi: 0.252 0.750 0.555
Bi: 0.748 0.250 0.445
B: 0.430 0.750 0.014
B: 0.570 0.250 0.986
P: 0.300 0.064 0.712
P: 0.300 0.436 0.712
P: 0.700 0.564 0.288
P: 0.700 0.936 0.288
O: 0.092 0.048 0.845
O: 0.092 0.452 0.845
O: 0.142 0.750 0.859
O: 0.145 0.126 0.493
O: 0.145 0.374 0.493
O: 0.376 0.250 0.113
O: 0.433 0.553 0.676
O: 0.433 0.947 0.676
O: 0.452 0.644 0.157
O: 0.452 0.856 0.157
O: 0.548 0.144 0.843
O: 0.548 0.356 0.843
O: 0.567 0.053 0.324
O: 0.567 0.447 0.324
O: 0.624 0.750 0.887
O: 0.855 0.626 0.507
O: 0.855 0.874 0.507
O: 0.858 0.250 0.141
O: 0.908 0.548 0.155
O: 0.908 0.952 0.155

Main lines, low angle first (5 to 70 degrees two-theta):
- 5.353 Å, I = 389
- 4.171 Å, I = 334
- 4.132 Å, I = 437
- 3.173 Å, I = 549
- 2.955 Å, I = 1000
- 2.916 Å, I = 417
- 2.880 Å, I = 296
- 2.676 Å, I = 318